Record 1
Structure and computed powder XRD pattern of ScIn6 (DFT lattice parameters and positions (GGA-PBE); a wavelength of 1.5418 Å).
Intensities are scaled so that the largest is 100.

Crystal structure
a = 7.9982 Å, b = 7.9982 Å, c = 7.9982 Å
α = 90.00°, β = 90.00°, γ = 90.00°
Space group Im-3m (No. 229)
One atom of each set of equivalent atoms:
1 Sc 0.0000 0.0000 0.0000 (multiplicity 2)
2 In 0.0000 0.2500 0.5000 (multiplicity 12)

Top 6 peaks for 2θ = 5–70°, in order of falling intensity:
hkl, 2θ/deg, Rel. int.
2 1 1, 27.31, 100
1 1 0, 15.67, 83
2 2 2, 39.01, 71
3 2 1, 42.28, 60
4 0 0, 45.36, 44
2 0 0, 22.23, 42

---

Record 2
Structure and computed powder XRD pattern of Ti3N2O3 (DFT lattice parameters and positions (GGA-PBE); a wavelength of 1.5418 Å).
Intensities are scaled so that the largest is 100.

Crystal structure
a = 9.8961 Å, b = 3.8021 Å, c = 9.9862 Å
α = 90.00°, β = 90.55°, γ = 90.00°
Space group Cm (No. 8)
One atom of each set of equivalent atoms:
1 Ti 0.0000 0.0000 0.0000 (multiplicity 2)
2 Ti 0.0086 0.0000 0.3954 (multiplicity 2)
3 Ti 0.2785 0.0000 0.5057 (multiplicity 2)
4 Ti 0.2883 0.0000 0.8994 (multiplicity 2)
5 Ti 0.3331 0.0000 0.2012 (multiplicity 2)
6 Ti 0.4431 0.5000 0.6992 (multiplicity 2)
7 N 0.1892 0.0000 0.3346 (multiplicity 2)
8 N 0.3374 0.5000 0.8733 (multiplicity 2)
9 N 0.3393 0.5000 0.5280 (multiplicity 2)
10 N 0.4487 0.0000 0.0293 (multiplicity 2)
11 O 0.0985 0.0000 0.8355 (multiplicity 2)
12 O 0.0998 0.0000 0.5733 (multiplicity 2)
13 O 0.1892 0.0000 0.0694 (multiplicity 2)
14 O 0.3932 0.0000 0.7046 (multiplicity 2)
15 O 0.3958 0.5000 0.2110 (multiplicity 2)
16 O 0.4587 0.0000 0.3760 (multiplicity 2)

Top 6 peaks for 2θ = 5–70°, in order of falling intensity:
hkl, 2θ/deg, Rel. int.
1 1 0, 25.09, 100
2 0 0, 17.93, 53
2 0 -3, 32.27, 37
0 2 0, 47.85, 36
2 0 3, 32.56, 30
3 1 0, 36.04, 27

---

Record 3
Structure and computed powder XRD pattern of Sn3Te (DFT lattice parameters and positions (GGA-PBE); a wavelength of 1.5418 Å).
Intensities are scaled so that the largest is 100.

Crystal structure
a = 3.9239 Å, b = 11.0506 Å, c = 5.2435 Å
α = 90.00°, β = 90.00°, γ = 90.00°
Space group Imm2 (No. 44)
One atom of each set of equivalent atoms:
1 Sn 0.0000 0.0000 0.0000 (multiplicity 2)
2 Sn 0.0000 0.2443 0.5087 (multiplicity 4)
3 Te 0.0000 0.5000 0.9995 (multiplicity 2)

Top 6 peaks for 2θ = 5–70°, in order of falling intensity:
hkl, 2θ/deg, Rel. int.
1 2 1, 32.79, 100
0 4 0, 32.41, 26
0 0 2, 34.20, 22
1 6 1, 58.05, 20
1 2 3, 60.34, 18
0 4 2, 47.83, 17

---

Record 4
Structure and computed powder XRD pattern of KGa2B2O6 (DFT lattice parameters and positions (GGA-PBE); a wavelength of 1.5418 Å).
Intensities are scaled so that the largest is 100.

Crystal structure
a = 4.8912 Å, b = 5.2361 Å, c = 7.0317 Å
α = 69.37°, β = 71.06°, γ = 83.60°
Space group P-1 (No. 2)
One atom of each set of equivalent atoms:
1 K 0.0000 0.0000 0.0000 (multiplicity 1)
2 Ga 0.2494 0.6596 0.5018 (multiplicity 2)
3 B 0.3753 0.2162 0.3056 (multiplicity 2)
4 O 0.1661 0.4082 0.3605 (multiplicity 2)
5 O 0.2893 0.9932 0.2778 (multiplicity 2)
6 O 0.3407 0.7440 0.7189 (multiplicity 2)

Top 6 peaks for 2θ = 5–70°, in order of falling intensity:
hkl, 2θ/deg, Rel. int.
0 0 1, 14.14, 100
0 1 -1, 26.60, 40
1 1 0, 26.51, 33
-1 1 1, 30.02, 32
1 1 2, 28.85, 18
1 2 3, 45.18, 15

---

Record 5
Structure and computed powder XRD pattern of LaEr12Tm6 (DFT lattice parameters and positions (GGA-PBE); a wavelength of 1.5418 Å).
Intensities are scaled so that the largest is 100.

Crystal structure
a = 11.7547 Å, b = 11.7547 Å, c = 15.0806 Å
α = 90.00°, β = 90.00°, γ = 120.00°
Space group R-3 (No. 148, hexagonal axes)
One atom of each set of equivalent atoms:
1 La 0.0000 0.0000 0.0000 (multiplicity 3)
2 Er 0.0210 0.8359 0.1919 (multiplicity 18)
3 Er 0.0386 0.8507 0.4156 (multiplicity 18)
4 Tm 0.0067 0.4209 0.6774 (multiplicity 18)

Top 6 peaks for 2θ = 5–70°, in order of falling intensity:
hkl, 2θ/deg, Rel. int.
1 3 1, 32.26, 100
3 -1 4, 33.27, 71
0 1 5, 30.92, 41
4 -1 2, 33.90, 26
0 3 3, 31.82, 22
5 2 0, 56.45, 17

---

Record 6
Structure and computed powder XRD pattern of Zr2Ag3F14 (DFT lattice parameters and positions (GGA-PBE); a wavelength of 1.5418 Å).
Intensities are scaled so that the largest is 100.

Crystal structure
a = 9.5413 Å, b = 6.8321 Å, c = 9.3334 Å
α = 90.00°, β = 91.19°, γ = 90.00°
Space group C2/m (No. 12)
One atom of each set of equivalent atoms:
1 Zr 0.0888 0.0000 0.2158 (multiplicity 4)
2 Ag 0.0000 0.5000 0.0000 (multiplicity 2)
3 Ag 0.1858 0.5000 0.3956 (multiplicity 4)
4 F 0.0000 0.0000 0.0000 (multiplicity 2)
5 F 0.0000 0.5000 0.5000 (multiplicity 2)
6 F 0.0597 0.2971 0.1630 (multiplicity 8)
7 F 0.1138 0.0000 0.7076 (multiplicity 4)
8 F 0.1688 0.1787 0.3864 (multiplicity 8)
9 F 0.2281 0.5000 0.8786 (multiplicity 4)

Top 6 peaks for 2θ = 5–70°, in order of falling intensity:
hkl, 2θ/deg, Rel. int.
1 1 2, 25.07, 100
2 0 -1, 20.74, 94
0 2 0, 26.09, 42
1 3 2, 45.41, 32
4 2 -2, 50.32, 23
3 1 1, 32.68, 21

---

Record 7
Structure and computed powder XRD pattern of Cs4Au2IF (DFT lattice parameters and positions (GGA-PBE); a wavelength of 1.5418 Å).
Intensities are scaled so that the largest is 100.

Crystal structure
a = 14.5779 Å, b = 14.5782 Å, c = 10.2260 Å
α = 90.00°, β = 134.16°, γ = 90.00°
Space group C2/c (No. 15)
One atom of each set of equivalent atoms:
1 Cs 0.0050 0.2446 0.0020 (multiplicity 8)
2 Cs 0.2406 0.0470 0.9907 (multiplicity 8)
3 Au 0.0000 0.0000 0.0000 (multiplicity 4)
4 Au 0.2500 0.2500 0.5000 (multiplicity 4)
5 I 0.0000 0.5000 0.0000 (multiplicity 4)
6 F 0.2500 0.2500 0.0000 (multiplicity 4)

Top 6 peaks for 2θ = 5–70°, in order of falling intensity:
hkl, 2θ/deg, Rel. int.
4 0 -2, 24.43, 100
0 0 2, 24.26, 59
0 4 2, 34.70, 34
4 4 -2, 34.82, 33
3 3 -1, 26.52, 25
4 0 0, 34.30, 24

---

Record 8
Structure and computed powder XRD pattern of Cs3CaLa (DFT lattice parameters and positions (GGA-PBE); a wavelength of 1.5418 Å).
Intensities are scaled so that the largest is 100.

Crystal structure
a = 7.2687 Å, b = 7.2687 Å, c = 7.2687 Å
α = 90.00°, β = 90.00°, γ = 90.00°
Space group Pm-3m (No. 221)
One atom of each set of equivalent atoms:
1 Cs 0.0000 0.0000 0.5000 (multiplicity 3)
2 Ca 0.5000 0.5000 0.5000 (multiplicity 1)
3 La 0.0000 0.0000 0.0000 (multiplicity 1)

Top 6 peaks for 2θ = 5–70°, in order of falling intensity:
hkl, 2θ/deg, Rel. int.
2 0 0, 24.49, 100
2 2 0, 34.91, 79
1 0 0, 12.18, 75
1 1 1, 21.17, 52
2 1 0, 27.44, 46
4 2 0, 56.63, 38